# 1
For Ba2MgTl6Ga, a cell relaxed with PBE gives the computed PXRD pattern in this record (Cu Ka).

Peak list (10 most intense, 5 to 70 degrees two-theta, by intensity)
2theta, intensity
27.0, 100
25.8, 69
27.5, 66
37.5, 47
35.3, 47
33.8, 40
13.8, 40
26.2, 38
37.9, 33
32.9, 30

a = 7.408 Å, b = 7.599 Å, c = 8.017 Å
α = 63.27°, β = 62.76°, γ = 62.16°
Atoms (fractional coordinates):
Ba (0.185, 0.391, 0.218)
Ba (0.815, 0.609, 0.782)
Mg (0.000, 0.000, 0.000)
Tl (0.166, 0.837, 0.328)
Tl (0.324, 0.837, 0.662)
Tl (0.347, 0.167, 0.835)
Tl (0.653, 0.833, 0.165)
Tl (0.676, 0.163, 0.338)
Tl (0.834, 0.163, 0.672)
Ga (0.500, 0.500, 0.500)

---

# 2
For Ga4BiPd15, a cell relaxed with PBE gives the computed PXRD pattern in this record (Cu Ka).

Peak list (10 most intense, 5 to 70 degrees two-theta, by intensity)
2theta, intensity
39.3, 100
45.6, 34
66.8, 18
46.1, 14
66.4, 11
36.8, 3
22.8, 2
63.1, 1
24.1, 1
9.0, 1

a = 3.981 Å, b = 3.981 Å, c = 19.699 Å
α = 90.00°, β = 90.00°, γ = 90.00°
Atoms (fractional coordinates):
Ga (0.000, 0.000, 0.097)
Ga (0.000, 0.000, 0.290)
Ga (0.000, 0.000, 0.710)
Ga (0.000, 0.000, 0.903)
Bi (0.000, 0.000, 0.500)
Pd (0.000, 0.500, 0.000)
Pd (0.000, 0.500, 0.195)
Pd (0.000, 0.500, 0.391)
Pd (0.000, 0.500, 0.609)
Pd (0.000, 0.500, 0.805)
Pd (0.500, 0.000, 0.000)
Pd (0.500, 0.000, 0.195)
Pd (0.500, 0.000, 0.391)
Pd (0.500, 0.000, 0.609)
Pd (0.500, 0.000, 0.805)
Pd (0.500, 0.500, 0.097)
Pd (0.500, 0.500, 0.294)
Pd (0.500, 0.500, 0.500)
Pd (0.500, 0.500, 0.706)
Pd (0.500, 0.500, 0.903)

---

# 3
For Pm5Pu2Te12, a cell relaxed with PBE gives the computed PXRD pattern in this record (Cu Ka).

Peak list (10 most intense, 5 to 70 degrees two-theta, by intensity)
2theta, intensity
28.3, 100
32.3, 46
35.5, 38
38.8, 32
20.6, 30
19.3, 27
43.5, 26
39.2, 23
57.3, 18
33.7, 18

a = 9.652 Å, b = 9.652 Å, c = 10.116 Å
α = 105.82°, β = 105.82°, γ = 51.10°
Atoms (fractional coordinates):
Pm (0.000, 0.000, 0.000)
Pm (0.295, 0.295, 0.137)
Pm (0.318, 0.318, 0.675)
Pm (0.682, 0.682, 0.325)
Pm (0.705, 0.705, 0.863)
Pu (0.259, 0.741, 0.500)
Pu (0.741, 0.259, 0.500)
Te (0.012, 0.012, 0.307)
Te (0.085, 0.557, 0.405)
Te (0.106, 0.601, 0.937)
Te (0.399, 0.894, 0.063)
Te (0.443, 0.915, 0.595)
Te (0.494, 0.494, 0.269)
Te (0.506, 0.506, 0.731)
Te (0.557, 0.085, 0.405)
Te (0.601, 0.106, 0.937)
Te (0.894, 0.399, 0.063)
Te (0.915, 0.443, 0.595)
Te (0.988, 0.988, 0.693)

---

# 4
For Cs3La2PbS6, a cell relaxed with PBE gives the computed PXRD pattern in this record (Cu Ka).

Peak list (10 most intense, 5 to 70 degrees two-theta, by intensity)
2theta, intensity
28.0, 100
24.9, 54
38.2, 37
41.8, 35
22.0, 28
47.7, 23
51.1, 18
44.5, 17
68.1, 15
63.0, 14

a = 7.484 Å, b = 7.484 Å, c = 8.460 Å
α = 98.45°, β = 98.45°, γ = 119.99°
Atoms (fractional coordinates):
Cs (0.000, 0.000, 0.000)
Cs (0.336, 0.664, 0.000)
Cs (0.664, 0.336, 0.000)
La (0.167, 0.833, 0.500)
La (0.833, 0.167, 0.500)
Pb (0.500, 0.500, 0.500)
S (0.102, 0.437, 0.311)
S (0.228, 0.228, 0.689)
S (0.437, 0.102, 0.311)
S (0.563, 0.898, 0.689)
S (0.772, 0.772, 0.311)
S (0.898, 0.563, 0.689)